The following is a simulated powder diffractogram of HgAuCl3. It was derived from a cell relaxed with PBE, using a wavelength of 1.5418 Å.

Principal peaks in the range 2θ = 10–90°, low angle first:
2θ 10.2, 8.634 Å, intensity 19
2θ 15.1, 5.883 Å, intensity 100
2θ 16.0, 5.556 Å, intensity 24
2θ 20.6, 4.302 Å, intensity 30
2θ 25.0, 3.562 Å, intensity 21
2θ 26.8, 3.325 Å, intensity 21
2θ 28.1, 3.181 Å, intensity 20
2θ 30.9, 2.897 Å, intensity 21
2θ 34.9, 2.569 Å, intensity 29
2θ 36.3, 2.477 Å, intensity 26

a b c (Å): 8.6894 6.3027 11.8418
angles (deg): 90.00 96.46 90.00
Sites, in units of the cell vectors:
Hg 0.2057 0.0705 0.4876
Hg 0.2057 0.4295 0.9876
Hg 0.7943 0.5705 0.0124
Hg 0.7943 0.9295 0.5124
Au 0.4138 0.6973 0.5704
Au 0.4138 0.8027 0.0704
Au 0.5862 0.1973 0.9296
Au 0.5862 0.3027 0.4296
Cl 0.0679 0.0126 0.6529
Cl 0.0679 0.4874 0.1529
Cl 0.2030 0.5166 0.4862
Cl 0.2030 0.9834 0.9862
Cl 0.3892 0.0945 0.3385
Cl 0.3892 0.4055 0.8385
Cl 0.6108 0.5945 0.1615
Cl 0.6108 0.9055 0.6615
Cl 0.7970 0.0166 0.0138
Cl 0.7970 0.4834 0.5138
Cl 0.9321 0.5126 0.8471
Cl 0.9321 0.9874 0.3471

The following is a simulated powder diffractogram of K2Na3Cd4. It was derived from a cell relaxed with PBE, using a wavelength of 1.5418 Å.

Principal peaks in the range 2θ = 10–90°, low angle first:
2θ 16.1, 5.509 Å, intensity 49
2θ 20.3, 4.365 Å, intensity 100
2θ 21.2, 4.183 Å, intensity 42
2θ 23.2, 3.832 Å, intensity 34
2θ 23.3, 3.819 Å, intensity 29
2θ 27.1, 3.286 Å, intensity 29
2θ 29.1, 3.069 Å, intensity 75
2θ 29.3, 3.051 Å, intensity 54
2θ 32.8, 2.733 Å, intensity 68
2θ 33.0, 2.717 Å, intensity 42

a b c (Å): 8.8727 8.6470 8.6426
angles (deg): 90.00 109.44 90.00
Sites, in units of the cell vectors:
K 0.1849 0.1608 0.0581
K 0.1849 0.3392 0.5581
K 0.8151 0.6608 0.4419
K 0.8151 0.8392 0.9419
Na 0.2528 0.6781 0.2502
Na 0.2528 0.8219 0.7502
Na 0.5000 0.0000 0.5000
Na 0.5000 0.5000 0.0000
Na 0.7472 0.1781 0.2498
Na 0.7472 0.3219 0.7498
Cd 0.0806 0.5411 0.8788
Cd 0.0806 0.9589 0.3788
Cd 0.4963 0.1233 0.8735
Cd 0.4963 0.3767 0.3735
Cd 0.5037 0.6233 0.6265
Cd 0.5037 0.8767 0.1265
Cd 0.9194 0.0411 0.6212
Cd 0.9194 0.4589 0.1212

The following is a simulated powder diffractogram of AcMg12Hg6. It was derived from a cell relaxed with PBE, using a wavelength of 1.5418 Å.

Principal peaks in the range 2θ = 10–90°, low angle first:
2θ 19.6, 4.527 Å, intensity 42
2θ 23.2, 3.838 Å, intensity 51
2θ 24.1, 3.687 Å, intensity 68
2θ 28.0, 3.190 Å, intensity 49
2θ 28.1, 3.178 Å, intensity 100
2θ 34.5, 2.601 Å, intensity 25
2θ 37.4, 2.407 Å, intensity 32
2θ 39.8, 2.263 Å, intensity 56
2θ 49.7, 1.836 Å, intensity 22
2θ 57.8, 1.595 Å, intensity 22

a b c (Å): 8.0525 8.0525 8.0525
angles (deg): 104.27 104.27 104.27
Sites, in units of the cell vectors:
Ac 0.0000 0.0000 0.0000
Mg 0.1166 0.5000 0.8834
Mg 0.1166 0.8834 0.5000
Mg 0.1668 0.4252 0.4252
Mg 0.4252 0.1668 0.4252
Mg 0.4252 0.4252 0.1668
Mg 0.5000 0.1166 0.8834
Mg 0.5000 0.8834 0.1166
Mg 0.5748 0.5748 0.8332
Mg 0.5748 0.8332 0.5748
Mg 0.8332 0.5748 0.5748
Mg 0.8834 0.1166 0.5000
Mg 0.8834 0.5000 0.1166
Hg 0.2545 0.2545 0.7134
Hg 0.2545 0.7134 0.2545
Hg 0.2866 0.7455 0.7455
Hg 0.7134 0.2545 0.2545
Hg 0.7455 0.2866 0.7455
Hg 0.7455 0.7455 0.2866

The following is a simulated powder diffractogram of ThPa4Si4. It was derived from a cell relaxed with PBE, using a wavelength of 1.5418 Å.

Principal peaks in the range 2θ = 10–90°, low angle first:
2θ 21.0, 4.235 Å, intensity 45
2θ 27.5, 3.243 Å, intensity 63
2θ 32.4, 2.761 Å, intensity 100
2θ 32.8, 2.727 Å, intensity 27
2θ 44.0, 2.058 Å, intensity 28
2θ 46.5, 1.952 Å, intensity 22
2θ 48.9, 1.861 Å, intensity 13
2θ 52.7, 1.737 Å, intensity 17
2θ 54.9, 1.673 Å, intensity 18
2θ 62.0, 1.497 Å, intensity 13

a b c (Å): 8.7316 8.7316 5.8192
angles (deg): 90.00 90.00 90.00
Sites, in units of the cell vectors:
Th 0.2500 0.2500 0.2500
Th 0.7500 0.7500 0.7500
Pa 0.0694 0.6307 0.0937
Pa 0.1307 0.9306 0.5937
Pa 0.3693 0.5694 0.5937
Pa 0.4306 0.8693 0.0937
Pa 0.5694 0.1307 0.9063
Pa 0.6307 0.4306 0.4063
Pa 0.8693 0.0694 0.4063
Pa 0.9306 0.3693 0.9063
Si 0.0437 0.6136 0.6016
Si 0.1136 0.9563 0.1016
Si 0.3864 0.5437 0.1016
Si 0.4563 0.8864 0.6016
Si 0.5437 0.1136 0.3984
Si 0.6136 0.4563 0.8984
Si 0.8864 0.0437 0.8984
Si 0.9563 0.3864 0.3984

The following is a simulated powder diffractogram of SmTmC2. It was derived from a cell relaxed with PBE, using a wavelength of 1.5418 Å.

Principal peaks in the range 2θ = 10–90°, low angle first:
2θ 30.2, 2.958 Å, intensity 100
2θ 30.3, 2.946 Å, intensity 33
2θ 35.1, 2.559 Å, intensity 89
2θ 50.3, 1.813 Å, intensity 31
2θ 50.5, 1.807 Å, intensity 31
2θ 59.9, 1.544 Å, intensity 45
2θ 60.1, 1.540 Å, intensity 15
2θ 62.8, 1.479 Å, intensity 16
2θ 84.5, 1.146 Å, intensity 14
2θ 84.8, 1.143 Å, intensity 14

a b c (Å): 6.2533 6.2533 6.2533
angles (deg): 33.70 33.70 33.70
Sites, in units of the cell vectors:
Sm 0.0000 0.0000 0.0000
Tm 0.5000 0.5000 0.5000
C 0.2457 0.2457 0.2457
C 0.7543 0.7543 0.7543

The following is a simulated powder diffractogram of TbU2Tc2. It was derived from a cell relaxed with PBE, using a wavelength of 1.5418 Å.

Principal peaks in the range 2θ = 10–90°, low angle first:
2θ 13.1, 6.753 Å, intensity 52
2θ 26.2, 3.399 Å, intensity 50
2θ 30.3, 2.950 Å, intensity 44
2θ 33.0, 2.718 Å, intensity 83
2θ 34.6, 2.592 Å, intensity 100
2θ 35.5, 2.531 Å, intensity 38
2θ 37.5, 2.396 Å, intensity 74
2θ 40.3, 2.236 Å, intensity 91
2θ 40.6, 2.222 Å, intensity 44
2θ 48.5, 1.876 Å, intensity 57

a b c (Å): 7.2334 7.2334 5.9389
angles (deg): 90.00 90.00 138.00
Sites, in units of the cell vectors:
Tb 0.0698 0.9302 0.7500
Tb 0.9302 0.0698 0.2500
U 0.3052 0.6948 0.0233
U 0.3052 0.6948 0.4767
U 0.6948 0.3052 0.5233
U 0.6948 0.3052 0.9767
Tc 0.1422 0.8578 0.2500
Tc 0.4460 0.5540 0.7500
Tc 0.5540 0.4460 0.2500
Tc 0.8578 0.1422 0.7500

The following is a simulated powder diffractogram of KHg7H5. It was derived from a cell relaxed with PBE, using a wavelength of 1.5418 Å.

Principal peaks in the range 2θ = 10–90°, low angle first:
2θ 13.9, 6.392 Å, intensity 34
2θ 14.1, 6.284 Å, intensity 51
2θ 21.7, 4.096 Å, intensity 89
2θ 24.1, 3.695 Å, intensity 40
2θ 28.5, 3.129 Å, intensity 57
2θ 30.1, 2.974 Å, intensity 53
2θ 30.4, 2.943 Å, intensity 82
2θ 31.5, 2.839 Å, intensity 46
2θ 31.8, 2.810 Å, intensity 100
2θ 35.9, 2.500 Å, intensity 35

a b c (Å): 6.4666 6.5249 7.3999
angles (deg): 87.71 82.35 78.45
Sites, in units of the cell vectors:
K 0.0000 0.0000 0.0000
Hg 0.0432 0.4845 0.2572
Hg 0.2824 0.6652 0.5458
Hg 0.4791 0.9124 0.2303
Hg 0.5100 0.0301 0.7854
Hg 0.5384 0.4834 0.0192
Hg 0.6254 0.2643 0.4161
Hg 0.9046 0.4536 0.6941
H 0.1683 0.2320 0.2487
H 0.2811 0.2122 0.8050
H 0.3498 0.7805 0.7692
H 0.7617 0.8902 0.7577
H 0.8922 0.7263 0.2453

The following is a simulated powder diffractogram of Ba12Au5N2. It was derived from a cell relaxed with PBE, using a wavelength of 1.5418 Å.

Principal peaks in the range 2θ = 10–90°, low angle first:
2θ 18.6, 4.781 Å, intensity 65
2θ 19.9, 4.466 Å, intensity 60
2θ 27.5, 3.247 Å, intensity 66
2θ 29.4, 3.036 Å, intensity 55
2θ 30.9, 2.889 Å, intensity 62
2θ 31.2, 2.869 Å, intensity 100
2θ 34.2, 2.624 Å, intensity 41
2θ 42.5, 2.128 Å, intensity 30
2θ 53.5, 1.713 Å, intensity 31
2θ 59.3, 1.558 Å, intensity 37

a b c (Å): 10.0093 10.0093 10.4919
angles (deg): 105.28 105.28 50.33
Sites, in units of the cell vectors:
Ba 0.0002 0.0002 0.1883
Ba 0.9998 0.9998 0.8117
Ba 0.0846 0.5972 0.9185
Ba 0.0988 0.5983 0.4272
Ba 0.4017 0.9012 0.5728
Ba 0.4028 0.9154 0.0815
Ba 0.4977 0.4977 0.1800
Ba 0.5023 0.5023 0.8200
Ba 0.5972 0.0846 0.9185
Ba 0.5983 0.0988 0.4272
Ba 0.9012 0.4017 0.5728
Ba 0.9154 0.4028 0.0815
Au 0.1879 0.1879 0.8394
Au 0.1924 0.1924 0.3490
Au 0.5000 0.5000 0.5000
Au 0.8076 0.8076 0.6510
Au 0.8121 0.8121 0.1606
N 0.2591 0.7409 0.0000
N 0.7409 0.2591 0.0000

The following is a simulated powder diffractogram of Ag4BrCl6. It was derived from a cell relaxed with PBE, using a wavelength of 1.5418 Å.

Principal peaks in the range 2θ = 10–90°, low angle first:
2θ 14.5, 6.112 Å, intensity 42
2θ 14.8, 5.995 Å, intensity 37
2θ 16.2, 5.487 Å, intensity 100
2θ 21.3, 4.172 Å, intensity 53
2θ 24.5, 3.628 Å, intensity 71
2θ 29.2, 3.056 Å, intensity 68
2θ 33.9, 2.646 Å, intensity 35
2θ 34.9, 2.572 Å, intensity 39
2θ 40.8, 2.211 Å, intensity 37
2θ 48.8, 1.868 Å, intensity 44

a b c (Å): 7.0919 7.0919 8.1087
angles (deg): 120.22 120.22 78.54
Sites, in units of the cell vectors:
Ag 0.0000 0.0000 0.0000
Ag 0.2871 0.2871 0.9568
Ag 0.2997 0.7595 0.4477
Ag 0.7595 0.2997 0.4477
Br 0.9238 0.9238 0.2920
Cl 0.2684 0.8751 0.7743
Cl 0.2931 0.2931 0.3208
Cl 0.3094 0.6956 0.1233
Cl 0.6956 0.3094 0.1233
Cl 0.7116 0.7116 0.6524
Cl 0.8751 0.2684 0.7743

The following is a simulated powder diffractogram of RbTl2P2Se7. It was derived from a cell relaxed with PBE, using a wavelength of 1.5418 Å.

Principal peaks in the range 2θ = 10–90°, low angle first:
2θ 20.7, 4.290 Å, intensity 41
2θ 27.3, 3.261 Å, intensity 39
2θ 28.6, 3.126 Å, intensity 40
2θ 31.9, 2.805 Å, intensity 100
2θ 32.6, 2.748 Å, intensity 21
2θ 43.0, 2.102 Å, intensity 13
2θ 44.6, 2.031 Å, intensity 11
2θ 48.3, 1.883 Å, intensity 25
2θ 59.1, 1.563 Å, intensity 14
2θ 59.5, 1.553 Å, intensity 16

a b c (Å): 11.6203 11.6203 11.6203
angles (deg): 32.60 32.60 32.60
Sites, in units of the cell vectors:
Rb 0.0000 0.0000 0.0000
Tl 0.1794 0.1794 0.1794
Tl 0.8206 0.8206 0.8206
P 0.4254 0.4254 0.4254
P 0.5746 0.5746 0.5746
Se 0.0570 0.4687 0.7055
Se 0.2945 0.5313 0.9430
Se 0.4687 0.7055 0.0571
Se 0.5000 0.5000 0.5000
Se 0.5313 0.9429 0.2945
Se 0.7055 0.0570 0.4687
Se 0.9430 0.2945 0.5313

The following is a simulated powder diffractogram of Ho3Ag. It was derived from a cell relaxed with PBE, using a wavelength of 1.5418 Å.

Principal peaks in the range 2θ = 10–90°, low angle first:
2θ 30.3, 2.949 Å, intensity 92
2θ 31.1, 2.879 Å, intensity 64
2θ 31.3, 2.861 Å, intensity 51
2θ 33.0, 2.714 Å, intensity 38
2θ 33.8, 2.652 Å, intensity 100
2θ 36.1, 2.489 Å, intensity 48
2θ 37.8, 2.380 Å, intensity 21
2θ 48.0, 1.897 Å, intensity 22
2θ 52.5, 1.743 Å, intensity 22
2θ 62.0, 1.497 Å, intensity 20

a b c (Å): 9.1099 9.1099 9.1099
angles (deg): 96.46 96.46 140.79
Sites, in units of the cell vectors:
Ho 0.0340 0.0247 0.5918
Ho 0.1385 0.4905 0.6386
Ho 0.1672 0.3580 0.9922
Ho 0.3658 0.1750 0.0078
Ho 0.4329 0.4422 0.4082
Ho 0.5001 0.8615 0.3520
Ho 0.5095 0.1481 0.6480
Ho 0.5578 0.9660 0.9908
Ho 0.6420 0.6342 0.8092
Ho 0.8250 0.8328 0.1908
Ho 0.8519 0.4999 0.3614
Ho 0.9753 0.5671 0.0092
Ag 0.0124 0.7133 0.7159
Ag 0.2867 0.0026 0.2991
Ag 0.7035 0.9876 0.7009
Ag 0.9974 0.2965 0.2841

The following is a simulated powder diffractogram of Nd3Sm4ThS8. It was derived from a cell relaxed with PBE, using a wavelength of 1.5418 Å.

Principal peaks in the range 2θ = 10–90°, low angle first:
2θ 27.1, 3.295 Å, intensity 80
2θ 31.3, 2.854 Å, intensity 100
2θ 44.9, 2.018 Å, intensity 73
2θ 53.2, 1.721 Å, intensity 30
2θ 53.3, 1.719 Å, intensity 10
2θ 55.8, 1.647 Å, intensity 19
2θ 65.4, 1.427 Å, intensity 12
2θ 74.3, 1.277 Å, intensity 16
2θ 74.4, 1.275 Å, intensity 16
2θ 82.9, 1.164 Å, intensity 18

a b c (Å): 8.0790 8.0790 8.0790
angles (deg): 59.88 59.88 59.88
Sites, in units of the cell vectors:
Nd 0.0000 0.5000 0.5000
Nd 0.5000 0.0000 0.5000
Nd 0.5000 0.5000 0.0000
Sm 0.0000 0.0000 0.5000
Sm 0.0000 0.5000 0.0000
Sm 0.5000 0.0000 0.0000
Sm 0.5000 0.5000 0.5000
Th 0.0000 0.0000 0.0000
S 0.2468 0.7494 0.7494
S 0.2481 0.2481 0.2481
S 0.2506 0.2506 0.7532
S 0.2506 0.7532 0.2506
S 0.7494 0.2468 0.7494
S 0.7494 0.7494 0.2468
S 0.7519 0.7519 0.7519
S 0.7532 0.2506 0.2506